Calculated powder X-ray diffraction pattern of Tl2Ir2PdSe6 for Cu Kα, 1.54184 Å, from a structure optimized by DFT (GGA-PBE).
No peak broadening, texture or thermal motion is included.

Principal peaks in the range 2θ from 5° to 70°, sorted by position:
d (Å)  Position (°2θ)  I/Imax  index
7.288  12.1  31  0 0 1
5.103  17.4  20  1 1 -1
3.644  24.4  23  0 0 2
2.847  31.4  51  2 0 -2
2.830  31.6  100  1 3 1
2.115  42.7  27  1 3 -3
1.915  47.5  56  0 6 0
1.821  50.1  19  1 3 3
1.590  58.0  17  2 6 -2
1.416  66.0  19  1 3 -5

Cell lengths 6.6273, 11.5025, 7.6385 Å; angles 90.00, 107.42, 90.00 degrees
Space group C2/m (No. 12)
Inequivalent atoms, fractional coordinates:
Tl 0.0000 0.1685 0.0000
Ir 0.0000 0.3317 0.5000
Pd 0.0000 0.0000 0.5000
Se 0.2217 0.5000 0.6695
Se 0.2296 0.1695 0.6727

Calculated powder X-ray diffraction pattern of La2PmNd5Y for Cu Kα, 1.54184 Å, from a structure optimized by DFT (GGA-PBE).
No peak broadening, texture or thermal motion is included.

Principal peaks in the range 2θ from 5° to 70°, sorted by position:
d (Å)  Position (°2θ)  I/Imax  index
3.200  27.9  43  2 1 3
3.109  28.7  54  2 2 0
3.010  29.7  100  2 0 4
2.781  32.2  15  3 1 0
2.413  37.3  15  3 2 1
2.334  38.6  10  2 0 6
2.124  42.6  10  4 0 2
2.064  43.9  13  0 0 8
1.775  51.5  28  4 2 4
1.720  53.3  12  2 2 8

Cell lengths 8.7929, 8.7929, 16.5203 Å; angles 90.00, 90.00, 90.00 degrees
Space group I4/mcm (No. 140)
Inequivalent atoms, fractional coordinates:
La 0.1198 0.3802 0.0000
Pm 0.0000 0.0000 0.2500
Nd 0.0000 0.0000 0.0000
Nd 0.2195 0.2805 0.3573
Y 0.0000 0.5000 0.2500